For K2SrTi10O22, a crystal structure in the Materials Project, relaxed with PBE gives the computed XRD peak list in this record (Cu Kα X-rays).
Kinematic intensities with the Lorentz-polarization factor, no thermal factor.

Main lines, in order of falling intensity (2θ = 15–90°):
| two_theta | I (rel.) |
| --- | --- |
| 29.35 | 100 |
| 28.90 | 92 |
| 30.09 | 91 |
| 47.69 | 83 |
| 30.67 | 74 |
| 42.86 | 72 |
| 32.48 | 66 |
| 43.44 | 62 |
| 29.08 | 39 |
| 34.81 | 35 |

Structure:
Lattice parameters (Å, degrees): 8.006 8.006 15.701 102.67 102.67 27.56
Atoms (fractional coordinates):
K1 0.000 0.000 0.000
K2 0.073 0.073 0.705
Sr1 0.959 0.959 0.383
Ti1 0.271 0.271 0.383
Ti2 0.312 0.312 0.979
Ti3 0.350 0.350 0.583
Ti4 0.378 0.378 0.181
Ti5 0.418 0.418 0.788
Ti6 0.614 0.614 0.298
Ti7 0.655 0.655 0.904
Ti8 0.681 0.681 0.509
Ti9 0.717 0.717 0.111
Ti10 0.760 0.760 0.710
O1 0.139 0.139 0.319
O2 0.181 0.181 0.912
O3 0.215 0.215 0.503
O4 0.250 0.250 0.105
O5 0.288 0.288 0.699
O6 0.336 0.336 0.304
O7 0.374 0.374 0.896
O8 0.382 0.382 0.475
O9 0.411 0.411 0.075
O10 0.449 0.449 0.669
O11 0.493 0.493 0.258
O12 0.536 0.536 0.843
O13 0.577 0.577 0.427
O14 0.623 0.623 0.016
O15 0.654 0.654 0.616
O16 0.658 0.658 0.198
O17 0.702 0.702 0.795
O18 0.743 0.743 0.391
O19 0.784 0.784 0.988
O20 0.817 0.817 0.586
O21 0.851 0.851 0.183
O22 0.891 0.891 0.776

---

For GdCdPd2, a crystal structure in the Materials Project, relaxed with PBE gives the computed XRD peak list in this record (Cu Kα X-rays).
Kinematic intensities with the Lorentz-polarization factor, no thermal factor.

Main lines, in order of falling intensity (2θ = 15–90°):
| two_theta | I (rel.) |
| --- | --- |
| 37.19 | 100 |
| 67.04 | 34 |
| 53.60 | 17 |
| 79.24 | 11 |
| 22.52 | 2 |
| 26.06 | 1 |
| 43.91 | 1 |
| 60.55 | 1 |

Structure:
Lattice parameters (Å, degrees): 6.839 6.839 6.839 90.00 90.00 90.00
Atoms (fractional coordinates):
Gd1 0.000 0.000 0.000
Gd2 0.000 0.500 0.500
Gd3 0.500 0.000 0.500
Gd4 0.500 0.500 0.000
Cd1 0.000 0.000 0.500
Cd2 0.000 0.500 0.000
Cd3 0.500 0.000 0.000
Cd4 0.500 0.500 0.500
Pd1 0.250 0.250 0.250
Pd2 0.250 0.250 0.750
Pd3 0.250 0.750 0.250
Pd4 0.250 0.750 0.750
Pd5 0.750 0.250 0.250
Pd6 0.750 0.250 0.750
Pd7 0.750 0.750 0.250
Pd8 0.750 0.750 0.750

---

For NdMnSi2, a crystal structure in the Materials Project, relaxed with PBE gives the computed XRD peak list in this record (Cu Kα X-rays).
Kinematic intensities with the Lorentz-polarization factor, no thermal factor.

Main lines, in order of falling intensity (2θ = 15–90°):
| two_theta | I (rel.) |
| --- | --- |
| 35.01 | 100 |
| 33.65 | 42 |
| 24.52 | 31 |
| 22.40 | 20 |
| 44.47 | 20 |
| 45.51 | 19 |
| 57.78 | 18 |
| 30.48 | 16 |
| 38.10 | 16 |
| 47.20 | 15 |

Structure:
Lattice parameters (Å, degrees): 4.074 17.596 3.986 90.00 90.00 90.00
Atoms (fractional coordinates):
Nd1 0.000 0.101 0.250
Nd2 0.000 0.899 0.750
Nd3 0.500 0.399 0.750
Nd4 0.500 0.601 0.250
Mn1 0.000 0.250 0.750
Mn2 0.000 0.750 0.250
Mn3 0.500 0.250 0.250
Mn4 0.500 0.750 0.750
Si1 0.000 0.322 0.250
Si2 0.000 0.463 0.250
Si3 0.000 0.537 0.750
Si4 0.000 0.678 0.750
Si5 0.500 0.037 0.750
Si6 0.500 0.178 0.750
Si7 0.500 0.822 0.250
Si8 0.500 0.963 0.250

---

For NbP2NCl12, a crystal structure in the Materials Project, relaxed with PBE gives the computed XRD peak list in this record (Cu Kα X-rays).
Kinematic intensities with the Lorentz-polarization factor, no thermal factor.

Main lines, in order of falling intensity (2θ = 15–90°):
| two_theta | I (rel.) |
| --- | --- |
| 15.31 | 100 |
| 17.50 | 54 |
| 21.97 | 31 |
| 26.05 | 28 |
| 31.24 | 24 |
| 30.39 | 22 |
| 34.80 | 21 |
| 23.63 | 19 |
| 19.63 | 19 |
| 48.30 | 16 |

Structure:
Lattice parameters (Å, degrees): 8.320 8.320 15.926 101.52 101.52 65.81
Atoms (fractional coordinates):
Nb1 0.000 0.000 0.000
Nb2 0.000 0.000 0.500
P1 0.320 0.460 0.729
P2 0.460 0.320 0.229
P3 0.540 0.680 0.771
P4 0.680 0.540 0.271
N1 0.379 0.621 0.750
N2 0.621 0.379 0.250
Cl1 0.046 0.090 0.151
Cl2 0.090 0.046 0.651
Cl3 0.098 0.517 0.649
Cl4 0.103 0.213 0.973
Cl5 0.213 0.103 0.473
Cl6 0.219 0.704 0.492
Cl7 0.239 0.498 0.176
Cl8 0.273 0.401 0.834
Cl9 0.296 0.781 0.008
Cl10 0.401 0.273 0.334
Cl11 0.483 0.902 0.851
Cl12 0.498 0.239 0.676
Cl13 0.502 0.761 0.324
Cl14 0.517 0.098 0.149
Cl15 0.599 0.727 0.666
Cl16 0.704 0.219 0.992
Cl17 0.727 0.599 0.166
Cl18 0.761 0.502 0.824
Cl19 0.781 0.296 0.508
Cl20 0.787 0.897 0.527
Cl21 0.897 0.787 0.027
Cl22 0.902 0.483 0.351
Cl23 0.910 0.954 0.349
Cl24 0.954 0.910 0.849

---

For SmNi2B2C, a crystal structure in the Materials Project, relaxed with PBE gives the computed XRD peak list in this record (Cu Kα X-rays).
Kinematic intensities with the Lorentz-polarization factor, no thermal factor.

Main lines, in order of falling intensity (2θ = 15–90°):
| two_theta | I (rel.) |
| --- | --- |
| 39.30 | 100 |
| 26.05 | 58 |
| 36.25 | 36 |
| 35.32 | 32 |
| 50.22 | 27 |
| 62.89 | 23 |
| 66.06 | 22 |
| 86.94 | 19 |
| 57.44 | 14 |
| 63.50 | 14 |

Structure:
Lattice parameters (Å, degrees): 3.633 3.633 10.164 90.00 90.00 90.00
Atoms (fractional coordinates):
Sm1 0.000 0.000 0.000
Sm2 0.500 0.500 0.500
Ni1 0.000 0.500 0.250
Ni2 0.000 0.500 0.750
Ni3 0.500 0.000 0.250
Ni4 0.500 0.000 0.750
B1 0.000 0.000 0.353
B2 0.000 0.000 0.647
B3 0.500 0.500 0.147
B4 0.500 0.500 0.853
C1 0.000 0.000 0.500
C2 0.500 0.500 0.000